Entry 1:
This entry pairs a crystal structure of Na5SrCl7 with its theoretical X-ray diffraction stick pattern. Radiation: Cu Kα, 1.54184 Å. Structure: a DFT-relaxed cell (GGA-PBE, Alexandria).

Principal peaks in the range 10 to 90 degrees two-theta, by angle:
- 29.6°, d = 3.019 Å, intensity 79
- 30.9°, d = 2.896 Å, intensity 56
- 30.9°, d = 2.894 Å, intensity 55
- 32.0°, d = 2.793 Å, intensity 100
- 41.5°, d = 2.177 Å, intensity 39
- 44.9°, d = 2.019 Å, intensity 55

Crystal structure
```
Na5SrCl7
1.0
6.6519 -2.0184 0.0000
6.6519 2.0184 0.0000
-0.0513 0.0000 23.7124
Na Sr Cl
10 2 14
Cartesian
0.0000 0.0000 0.0000 Na
13.2880 0.0000 5.0555 Na
1.0273 0.0000 16.9191 Na
1.0517 0.0000 11.8656 Na
3.4994 0.0000 6.7682 Na
3.4652 0.0000 22.0030 Na
7.1698 0.0000 8.4612 Na
7.1367 0.0000 20.3159 Na
10.8096 0.0000 18.6290 Na
10.8411 0.0000 10.1528 Na
4.4085 0.0000 14.4105 Sr
9.9297 0.0000 2.5138 Sr
1.2049 0.0000 2.5297 Cl
2.2875 0.0000 19.4552 Cl
2.3231 0.0000 9.3256 Cl
4.6739 0.0000 4.2497 Cl
4.6923 0.0000 0.8001 Cl
5.9057 0.0000 17.6892 Cl
5.9434 0.0000 11.0726 Cl
8.3978 0.0000 5.8474 Cl
8.3695 0.0000 22.9384 Cl
9.6390 0.0000 16.1184 Cl
9.6678 0.0000 12.6710 Cl
11.9866 0.0000 21.1754 Cl
12.0179 0.0000 7.5954 Cl
13.1333 0.0000 14.3899 Cl
```

=====

Entry 2:
This entry pairs a crystal structure of Ce2TaIrN5 with its theoretical X-ray diffraction stick pattern. Radiation: Cu Kα, 1.54184 Å. Structure: a DFT-relaxed cell (GGA-PBE, Alexandria).

Principal peaks in the range 10 to 90 degrees two-theta, by angle:
- 28.8°, d = 3.100 Å, intensity 92
- 32.2°, d = 2.782 Å, intensity 80
- 33.0°, d = 2.714 Å, intensity 92
- 34.3°, d = 2.613 Å, intensity 100
- 35.4°, d = 2.536 Å, intensity 57
- 38.2°, d = 2.353 Å, intensity 91

Crystal structure
```
Ce2TaIrN5
1.0
1.6306 -6.5484 0.0000
1.6306 6.5484 0.0000
0.0000 0.0000 10.5572
Ce Ta Ir N
4 2 2 10
Cartesian
1.6306 5.2122 5.2786 Ce
1.6306 4.6309 1.2283 Ce
1.6306 -4.6309 6.5069 Ce
1.6306 -5.2122 0.0000 Ce
1.6306 3.8307 8.7323 Ta
1.6306 -3.8307 3.4537 Ta
1.6306 0.3257 2.8334 Ir
1.6306 -0.3257 8.1120 Ir
1.6306 5.8152 9.3819 N
1.6306 2.9195 4.8684 N
1.6306 2.3534 2.0104 N
1.6306 1.7742 8.5179 N
1.6306 0.1894 6.1894 N
1.6306 -0.1894 0.9108 N
1.6306 -1.7742 3.2393 N
1.6306 -2.3534 7.2890 N
1.6306 -2.9195 10.1470 N
1.6306 -5.8152 4.1033 N
```

=====

Entry 3:
This entry pairs a crystal structure of Ce2InGa12 with its theoretical X-ray diffraction stick pattern. Radiation: Cu Kα, 1.54184 Å. Structure: a DFT-relaxed cell (GGA-PBE, Alexandria).

Principal peaks in the range 10 to 90 degrees two-theta, by angle:
- 29.4°, d = 3.042 Å, intensity 61
- 31.8°, d = 2.815 Å, intensity 83
- 33.8°, d = 2.651 Å, intensity 99
- 36.5°, d = 2.464 Å, intensity 89
- 41.8°, d = 2.162 Å, intensity 93
- 43.1°, d = 2.100 Å, intensity 100

Crystal structure
```
Ce2InGa12
1.0
5.9407 0.0000 0.0000
0.0000 5.9407 0.0000
0.0000 0.0000 17.6479
Ce In Ga
4 2 24
Cartesian
1.4852 4.4555 3.8941 Ce
1.4852 4.4555 13.7539 Ce
4.4555 1.4852 3.8941 Ce
4.4555 1.4852 13.7539 Ce
1.4852 4.4555 8.8240 In
4.4555 1.4852 8.8240 In
0.0141 2.9844 6.7181 Ga
0.0141 5.9266 10.9298 Ga
0.4106 3.3809 16.5093 Ga
0.4106 5.5301 1.1387 Ga
1.4852 1.4852 2.6133 Ga
1.4852 1.4852 5.0995 Ga
1.4852 1.4852 12.5485 Ga
1.4852 1.4852 15.0346 Ga
2.5597 3.3809 1.1387 Ga
2.5597 5.5301 16.5093 Ga
2.9562 2.9844 10.9298 Ga
2.9562 5.9266 6.7181 Ga
2.9844 0.0141 10.9298 Ga
2.9844 2.9562 6.7181 Ga
3.3809 0.4106 1.1387 Ga
3.3809 2.5597 16.5093 Ga
4.4555 4.4555 2.6133 Ga
4.4555 4.4555 5.0995 Ga
4.4555 4.4555 12.5485 Ga
4.4555 4.4555 15.0346 Ga
5.5301 0.4106 16.5093 Ga
5.5301 2.5597 1.1387 Ga
5.9266 0.0141 6.7181 Ga
5.9266 2.9562 10.9298 Ga
```